# 1
Diffraction record for Te2Mo3WSe2S4. The powder XRD pattern is theoretical, not measured: it uses a GGA-PBE-relaxed structure and CuKα.
Intensities are scaled so that the largest is 100.

Most intense lines, 10° ≤ 2θ ≤ 80°, in order of falling intensity:
- 2θ = 11.76°, rel. 100, (0 0 5)
- 2θ = 36.75°, rel. 86, (1 0 8)
- 2θ = 31.26°, rel. 55, (1 0 0)
- 2θ = 44.52°, rel. 45, (1 0 13)
- 2θ = 55.61°, rel. 29, (1 1 0)
- 2θ = 14.13°, rel. 22, (0 0 6)
- 2θ = 46.34°, rel. 16, (1 0 14)
- 2θ = 18.87°, rel. 14, (0 0 8)
- 2θ = 68.52°, rel. 13, (2 0 8)
- 2θ = 33.49°, rel. 13, (1 0 5)

Cell and atoms:
```
Te2Mo3WSe2S4
1.0
3.306 0.000 0.000
-1.653 2.863 0.000
0.000 0.000 37.616
Te Mo W Se S
2 3 1 2 4
direct
0.000 0.000 0.000
0.000 0.000 0.102
0.000 0.000 0.487
0.333 0.667 0.051
0.333 0.667 0.675
0.000 0.000 0.863
0.000 0.000 0.630
0.000 0.000 0.720
0.333 0.667 0.447
0.333 0.667 0.528
0.333 0.667 0.822
0.333 0.667 0.904
```

---

# 2
Diffraction record for Te2MoWSeS. The powder XRD pattern is theoretical, not measured: it uses a GGA-PBE-relaxed structure and CuKα.
Intensities are scaled so that the largest is 100.

Most intense lines, 10° ≤ 2θ ≤ 80°, in order of falling intensity:
- 2θ = 11.22°, rel. 100, (0 0 5)
- 2θ = 35.52°, rel. 83, (1 0 8)
- 2θ = 42.81°, rel. 53, (0 1 13)
- 2θ = 30.39°, rel. 50, (1 0 0)
- 2θ = 53.96°, rel. 36, (1 1 0)
- 2θ = 36.78°, rel. 21, (1 0 9)
- 2θ = 44.52°, rel. 18, (1 0 14)
- 2θ = 34.37°, rel. 17, (0 1 7)
- 2θ = 75.44°, rel. 15, (1 1 21)
- 2θ = 13.47°, rel. 14, (0 0 6)

Cell and atoms:
```
Te2MoWSeS
1.0
3.399 0.000 0.000
-1.700 2.944 0.000
0.000 0.000 39.430
Te Mo W Se S
4 2 2 2 2
direct
0.000 0.000 0.000
0.000 0.000 0.095
0.333 0.667 0.189
0.333 0.667 0.284
0.000 0.000 0.860
0.333 0.667 0.048
0.000 0.000 0.236
0.333 0.667 0.424
0.000 0.000 0.382
0.000 0.000 0.466
0.333 0.667 0.822
0.333 0.667 0.898
```

---

# 3
Diffraction record for Te2MoWSeS. The powder XRD pattern is theoretical, not measured: it uses a GGA-PBE-relaxed structure and CuKα.
Intensities are scaled so that the largest is 100.

Most intense lines, 10° ≤ 2θ ≤ 80°, in order of falling intensity:
- 2θ = 11.05°, rel. 100, (0 0 5)
- 2θ = 35.37°, rel. 74, (0 1 8)
- 2θ = 42.47°, rel. 52, (0 1 13)
- 2θ = 30.39°, rel. 42, (1 0 0)
- 2θ = 53.96°, rel. 31, (1 1 0)
- 2θ = 44.15°, rel. 17, (1 0 14)
- 2θ = 13.27°, rel. 16, (0 0 6)
- 2θ = 74.83°, rel. 15, (1 1 21)
- 2θ = 32.40°, rel. 14, (1 0 5)
- 2θ = 36.60°, rel. 14, (0 1 9)

Cell and atoms:
```
Te2MoWSeS
1.0
3.399 0.000 0.000
-1.700 2.944 0.000
0.000 0.000 40.044
Te Mo W Se S
4 2 2 2 2
direct
0.000 0.000 0.000
0.000 0.000 0.094
0.333 0.667 0.811
0.333 0.667 0.904
0.000 0.000 0.483
0.000 0.000 0.857
0.333 0.667 0.047
0.333 0.667 0.670
0.000 0.000 0.629
0.000 0.000 0.711
0.333 0.667 0.445
0.333 0.667 0.520
```

---

# 4
Diffraction record for Te2Mo3WSe2S4. The powder XRD pattern is theoretical, not measured: it uses a GGA-PBE-relaxed structure and CuKα.
Intensities are scaled so that the largest is 100.

Most intense lines, 10° ≤ 2θ ≤ 80°, in order of falling intensity:
- 2θ = 11.22°, rel. 100, (0 0 5)
- 2θ = 36.26°, rel. 64, (1 0 8)
- 2θ = 43.44°, rel. 44, (0 1 13)
- 2θ = 31.24°, rel. 41, (1 0 0)
- 2θ = 55.56°, rel. 25, (1 1 0)
- 2θ = 37.50°, rel. 13, (1 0 9)
- 2θ = 13.47°, rel. 13, (0 0 6)
- 2θ = 33.26°, rel. 12, (1 0 5)
- 2θ = 45.13°, rel. 12, (1 0 14)
- 2θ = 35.13°, rel. 12, (0 1 7)

Cell and atoms:
```
Te2Mo3WSe2S4
1.0
3.309 0.000 0.000
-1.655 2.866 0.000
0.000 0.000 39.439
Te Mo W Se S
2 3 1 2 4
direct
0.000 0.000 0.000
0.000 0.000 0.097
0.000 0.000 0.861
0.667 0.333 0.049
0.667 0.333 0.674
0.000 0.000 0.239
0.667 0.333 0.196
0.667 0.333 0.282
0.000 0.000 0.635
0.000 0.000 0.713
0.667 0.333 0.823
0.667 0.333 0.900
```

---

# 5
Diffraction record for Te2MoW3Se4S2. The powder XRD pattern is theoretical, not measured: it uses a GGA-PBE-relaxed structure and CuKα.
Intensities are scaled so that the largest is 100.

Most intense lines, 10° ≤ 2θ ≤ 80°, in order of falling intensity:
- 2θ = 11.43°, rel. 100, (0 0 5)
- 2θ = 36.17°, rel. 68, (1 0 8)
- 2θ = 43.61°, rel. 44, (0 1 13)
- 2θ = 30.93°, rel. 36, (1 0 0)
- 2θ = 54.98°, rel. 27, (1 1 0)
- 2θ = 13.72°, rel. 20, (0 0 6)
- 2θ = 45.36°, rel. 15, (1 0 14)
- 2θ = 37.46°, rel. 14, (1 0 9)
- 2θ = 33.05°, rel. 13, (1 0 5)
- 2θ = 35.00°, rel. 12, (0 1 7)

Cell and atoms:
```
Te2MoW3Se4S2
1.0
3.341 0.000 0.000
-1.671 2.893 0.000
0.000 0.000 38.722
Te Mo W Se S
2 1 3 4 2
direct
0.000 0.000 0.000
0.000 0.000 0.099
0.000 0.000 0.861
0.000 0.000 0.238
0.333 0.667 0.049
0.333 0.667 0.425
0.333 0.667 0.194
0.333 0.667 0.281
0.333 0.667 0.818
0.333 0.667 0.904
0.000 0.000 0.386
0.000 0.000 0.465
```

---

# 6
Diffraction record for Te2Mo3WSe2S4. The powder XRD pattern is theoretical, not measured: it uses a GGA-PBE-relaxed structure and CuKα.
Intensities are scaled so that the largest is 100.

Most intense lines, 10° ≤ 2θ ≤ 80°, in order of falling intensity:
- 2θ = 11.36°, rel. 100, (0 0 5)
- 2θ = 36.40°, rel. 68, (0 1 8)
- 2θ = 43.73°, rel. 43, (0 1 13)
- 2θ = 31.25°, rel. 35, (1 0 0)
- 2θ = 55.60°, rel. 23, (1 1 0)
- 2θ = 13.64°, rel. 22, (0 0 6)
- 2θ = 31.58°, rel. 14, (1 0 2)
- 2θ = 33.34°, rel. 13, (1 0 5)
- 2θ = 45.46°, rel. 12, (1 0 14)
- 2θ = 39.05°, rel. 12, (0 1 10)

Cell and atoms:
```
Te2Mo3WSe2S4
1.0
3.306 0.000 0.000
-1.653 2.863 0.000
0.000 0.000 38.945
Te Mo W Se S
2 3 1 2 4
direct
0.000 0.000 0.000
0.000 0.000 0.098
0.000 0.000 0.240
0.667 0.333 0.049
0.667 0.333 0.427
0.000 0.000 0.615
0.667 0.333 0.197
0.667 0.333 0.283
0.000 0.000 0.387
0.000 0.000 0.466
0.667 0.333 0.575
0.667 0.333 0.654
```

---

# 7
Diffraction record for Te2MoW3Se2S4. The powder XRD pattern is theoretical, not measured: it uses a GGA-PBE-relaxed structure and CuKα.
Intensities are scaled so that the largest is 100.

Most intense lines, 10° ≤ 2θ ≤ 80°, in order of falling intensity:
- 2θ = 11.26°, rel. 100, (0 0 5)
- 2θ = 36.31°, rel. 59, (1 0 8)
- 2θ = 43.54°, rel. 38, (0 1 13)
- 2θ = 31.25°, rel. 31, (1 0 0)
- 2θ = 55.58°, rel. 21, (1 1 0)
- 2θ = 13.53°, rel. 16, (0 0 6)
- 2θ = 33.29°, rel. 13, (1 0 5)
- 2θ = 56.89°, rel. 12, (1 1 5)
- 2θ = 45.24°, rel. 11, (1 0 14)
- 2θ = 76.96°, rel. 10, (1 1 21)

Cell and atoms:
```
Te2MoW3Se2S4
1.0
3.307 0.000 0.000
-1.654 2.864 0.000
0.000 0.000 39.277
Te Mo W Se S
2 1 3 2 4
direct
0.000 0.000 0.000
0.000 0.000 0.098
0.000 0.000 0.862
0.000 0.000 0.240
0.667 0.333 0.049
0.667 0.333 0.674
0.667 0.333 0.197
0.667 0.333 0.283
0.000 0.000 0.635
0.000 0.000 0.713
0.667 0.333 0.823
0.667 0.333 0.901
```

---

# 8
Diffraction record for Te2MoWSeS. The powder XRD pattern is theoretical, not measured: it uses a GGA-PBE-relaxed structure and CuKα.
Intensities are scaled so that the largest is 100.

Most intense lines, 10° ≤ 2θ ≤ 80°, in order of falling intensity:
- 2θ = 11.41°, rel. 100, (0 0 5)
- 2θ = 35.67°, rel. 94, (1 0 8)
- 2θ = 43.17°, rel. 52, (1 0 13)
- 2θ = 30.36°, rel. 48, (1 0 0)
- 2θ = 53.92°, rel. 36, (1 1 0)
- 2θ = 36.97°, rel. 17, (0 1 9)
- 2θ = 44.93°, rel. 16, (0 1 14)
- 2θ = 76.10°, rel. 16, (1 1 21)
- 2θ = 13.71°, rel. 15, (0 0 6)
- 2θ = 66.33°, rel. 15, (2 0 8)

Cell and atoms:
```
Te2MoWSeS
1.0
3.402 0.000 0.000
-1.701 2.946 0.000
0.000 0.000 38.765
Te Mo W Se S
4 2 2 2 2
direct
0.000 0.000 0.000
0.000 0.000 0.097
0.333 0.667 0.812
0.333 0.667 0.909
0.000 0.000 0.485
0.333 0.667 0.673
0.000 0.000 0.861
0.333 0.667 0.049
0.333 0.667 0.442
0.333 0.667 0.527
0.000 0.000 0.634
0.000 0.000 0.712
```

---

# 9
Diffraction record for Te2MoWSeS. The powder XRD pattern is theoretical, not measured: it uses a GGA-PBE-relaxed structure and CuKα.
Intensities are scaled so that the largest is 100.

Most intense lines, 10° ≤ 2θ ≤ 80°, in order of falling intensity:
- 2θ = 35.94°, rel. 100, (1 0 8)
- 2θ = 11.74°, rel. 87, (0 0 5)
- 2θ = 43.79°, rel. 46, (1 0 13)
- 2θ = 30.33°, rel. 45, (1 0 0)
- 2θ = 53.87°, rel. 33, (1 1 0)
- 2θ = 38.78°, rel. 19, (0 1 10)
- 2θ = 32.61°, rel. 17, (1 0 5)
- 2θ = 66.46°, rel. 16, (2 0 8)
- 2θ = 77.25°, rel. 15, (1 1 21)
- 2θ = 40.36°, rel. 14, (1 0 11)

Cell and atoms:
```
Te2MoWSeS
1.0
3.404 0.000 0.000
-1.702 2.948 0.000
0.000 0.000 37.689
Te Mo W Se S
4 2 2 2 2
direct
0.000 0.000 0.000
0.000 0.000 0.100
0.000 0.000 0.376
0.000 0.000 0.476
0.000 0.000 0.238
0.000 0.000 0.862
0.333 0.667 0.050
0.333 0.667 0.426
0.333 0.667 0.818
0.333 0.667 0.906
0.333 0.667 0.198
0.333 0.667 0.278
```

---

# 10
Diffraction record for Te2Mo3WSe4S2. The powder XRD pattern is theoretical, not measured: it uses a GGA-PBE-relaxed structure and CuKα.
Intensities are scaled so that the largest is 100.

Most intense lines, 10° ≤ 2θ ≤ 80°, in order of falling intensity:
- 2θ = 11.63°, rel. 100, (0 0 5)
- 2θ = 36.33°, rel. 86, (0 1 8)
- 2θ = 44.00°, rel. 50, (1 0 13)
- 2θ = 30.91°, rel. 50, (1 0 0)
- 2θ = 54.93°, rel. 31, (1 1 0)
- 2θ = 13.97°, rel. 21, (0 0 6)
- 2θ = 45.80°, rel. 17, (0 1 14)
- 2θ = 77.74°, rel. 14, (1 1 21)
- 2θ = 67.65°, rel. 14, (2 0 8)
- 2θ = 33.10°, rel. 13, (1 0 5)

Cell and atoms:
```
Te2Mo3WSe4S2
1.0
3.343 0.000 0.000
-1.672 2.895 0.000
0.000 0.000 38.040
Te Mo W Se S
2 3 1 4 2
direct
0.000 0.000 0.000
0.000 0.000 0.100
0.000 0.000 0.486
0.333 0.667 0.050
0.333 0.667 0.674
0.000 0.000 0.862
0.333 0.667 0.442
0.333 0.667 0.530
0.333 0.667 0.818
0.333 0.667 0.906
0.000 0.000 0.634
0.000 0.000 0.714
```

---

# 11
Diffraction record for Te2Mo3WSe4S2. The powder XRD pattern is theoretical, not measured: it uses a GGA-PBE-relaxed structure and CuKα.
Intensities are scaled so that the largest is 100.

Most intense lines, 10° ≤ 2θ ≤ 80°, in order of falling intensity:
- 2θ = 11.63°, rel. 100, (0 0 5)
- 2θ = 36.32°, rel. 90, (1 0 8)
- 2θ = 43.98°, rel. 53, (0 1 13)
- 2θ = 30.90°, rel. 52, (1 0 0)
- 2θ = 54.92°, rel. 35, (1 1 0)
- 2θ = 45.78°, rel. 17, (1 0 14)
- 2θ = 37.65°, rel. 16, (1 0 9)
- 2θ = 77.71°, rel. 15, (1 1 21)
- 2θ = 33.09°, rel. 15, (1 0 5)
- 2θ = 67.62°, rel. 14, (0 2 8)

Cell and atoms:
```
Te2Mo3WSe4S2
1.0
3.344 0.000 0.000
-1.672 2.896 0.000
0.000 0.000 38.049
Te Mo W Se S
2 3 1 4 2
direct
0.000 0.000 0.000
0.000 0.000 0.100
0.000 0.000 0.238
0.000 0.000 0.862
0.333 0.667 0.050
0.333 0.667 0.426
0.000 0.000 0.382
0.000 0.000 0.470
0.333 0.667 0.194
0.333 0.667 0.282
0.333 0.667 0.822
0.333 0.667 0.902
```

---

# 12
Diffraction record for TeMoWSe2S. The powder XRD pattern is theoretical, not measured: it uses a GGA-PBE-relaxed structure and CuKα.
Intensities are scaled so that the largest is 100.

Most intense lines, 10° ≤ 2θ ≤ 80°, in order of falling intensity:
- 2θ = 11.61°, rel. 100, (0 0 5)
- 2θ = 36.28°, rel. 80, (1 0 8)
- 2θ = 43.93°, rel. 47, (0 1 13)
- 2θ = 30.87°, rel. 40, (1 0 0)
- 2θ = 54.88°, rel. 30, (1 1 0)
- 2θ = 13.94°, rel. 18, (0 0 6)
- 2θ = 45.73°, rel. 17, (1 0 14)
- 2θ = 33.07°, rel. 17, (1 0 5)
- 2θ = 77.61°, rel. 13, (1 1 21)
- 2θ = 67.57°, rel. 13, (0 2 8)

Cell and atoms:
```
TeMoWSe2S
1.0
3.347 0.000 0.000
-1.673 2.898 0.000
0.000 0.000 38.107
Te Mo W Se S
2 2 2 4 2
direct
0.000 0.000 0.000
0.000 0.000 0.100
0.000 0.000 0.486
0.000 0.000 0.862
0.333 0.667 0.050
0.333 0.667 0.674
0.000 0.000 0.630
0.000 0.000 0.718
0.333 0.667 0.818
0.333 0.667 0.906
0.333 0.667 0.447
0.333 0.667 0.526
```